Entry 1:
Structure and theoretical powder XRD pattern of AcMg2AlCd2 (a DFT-relaxed cell (GGA-PBE, Alexandria); Cu Kα).
Peak positions follow from Bragg's law for the DFT cell and can differ from measured ones.

Crystal structure
a = 5.335 Å, b = 5.335 Å, c = 12.220 Å
α = 90.00°, β = 90.00°, γ = 90.00°
Space group I4/mmm (No. 139)
Inequivalent atoms, fractional coordinates:
Ac 0.000 0.000 0.000 [2 per cell]
Mg 0.000 0.500 0.250 [4 per cell]
Al 0.000 0.000 0.500 [2 per cell]
Cd 0.000 0.000 0.292 [4 per cell]

Peak list (8 most intense, 10 to 80 degrees two-theta, by angle)
two_theta	intensity	hkl
18.14	34	1 0 1
23.59	100	1 1 0
27.55	96	1 0 3
29.23	27	0 0 4
33.60	63	2 0 0
37.90	31	1 1 4
43.98	55	2 1 3
45.12	33	2 0 4

=====

Entry 2:
Structure and theoretical powder XRD pattern of Ac2Al12CdPt3 (a DFT-relaxed cell (GGA-PBE, Alexandria); Cu Kα).
Peak positions follow from Bragg's law for the DFT cell and can differ from measured ones.

Crystal structure
a = 9.2026 Å, b = 9.2026 Å, c = 18.1325 Å
α = 90.00°, β = 90.00°, γ = 120.00°
Space group R-3m (No. 166, hexagonal axes)
Inequivalent atoms, fractional coordinates:
Ac 0.0000 0.0000 0.1010 [6 per cell]
Al 0.0032 0.5016 0.1352 [18 per cell]
Al 0.0677 0.5339 0.3004 [18 per cell]
Cd 0.0000 0.0000 0.5000 [3 per cell]
Pt 0.0000 0.5000 0.0000 [9 per cell]

Peak list (8 most intense, 10 to 80 degrees two-theta, by angle)
two_theta	intensity	hkl
22.57	26	1 0 4
22.85	100	0 2 1
24.36	94	2 0 2
27.01	38	0 1 5
38.87	30	1 2 5
39.16	62	2 2 0
45.82	18	4 0 1
48.21	20	3 1 5

=====

Entry 3:
Structure and theoretical powder XRD pattern of AcCe4Al4 (a DFT-relaxed cell (GGA-PBE, Alexandria); Cu Kα).
Peak positions follow from Bragg's law for the DFT cell and can differ from measured ones.

Crystal structure
a = 10.212 Å, b = 10.212 Å, c = 4.258 Å
α = 90.00°, β = 90.00°, γ = 90.00°
Space group I4/mmm (No. 139)
Inequivalent atoms, fractional coordinates:
Ac 0.000 0.000 0.000 [2 per cell]
Ce 0.191 0.191 0.500 [8 per cell]
Al 0.000 0.353 0.000 [8 per cell]

Peak list (8 most intense, 10 to 80 degrees two-theta, by angle)
two_theta	intensity	hkl
12.26	38	1 1 0
24.66	40	2 2 0
28.66	46	2 1 1
33.71	100	3 0 1
37.36	33	3 3 0
52.85	31	5 2 1
57.82	18	3 3 2
65.07	16	6 3 1

=====

Entry 4:
Structure and theoretical powder XRD pattern of Ac2Ce2AlGe4 (a DFT-relaxed cell (GGA-PBE, Alexandria); Cu Kα).
Peak positions follow from Bragg's law for the DFT cell and can differ from measured ones.

Crystal structure
a = 7.378 Å, b = 7.378 Å, c = 8.759 Å
α = 90.00°, β = 90.00°, γ = 90.00°
Space group I4/mmm (No. 139)
Inequivalent atoms, fractional coordinates:
Ac 0.000 0.500 0.250 [4 per cell]
Ce 0.000 0.000 0.162 [4 per cell]
Al 0.000 0.000 0.500 [2 per cell]
Ge 0.244 0.244 0.500 [8 per cell]

Peak list (8 most intense, 10 to 80 degrees two-theta, by angle)
two_theta	intensity	hkl
24.13	28	2 0 0
26.57	26	1 1 2
31.71	100	2 0 2
34.38	63	2 2 0
41.27	18	0 0 4
44.89	19	1 1 4
49.41	23	4 0 0
59.91	33	4 2 2

=====

Entry 5:
Structure and theoretical powder XRD pattern of AcCe2Al2Ge2 (a DFT-relaxed cell (GGA-PBE, Alexandria); Cu Kα).
Peak positions follow from Bragg's law for the DFT cell and can differ from measured ones.

Crystal structure
a = 4.4266 Å, b = 4.4266 Å, c = 29.6050 Å
α = 90.00°, β = 90.00°, γ = 120.00°
Space group R-3m (No. 166, hexagonal axes)
Inequivalent atoms, fractional coordinates:
Ac 0.0000 0.0000 0.0000 [3 per cell]
Ce 0.0000 0.0000 0.1403 [6 per cell]
Al 0.0000 0.0000 0.4140 [6 per cell]
Ge 0.0000 0.0000 0.2587 [6 per cell]

Peak list (8 most intense, 10 to 80 degrees two-theta, by angle)
two_theta	intensity	hkl
23.40	68	1 0 1
31.50	100	1 0 7
33.66	68	0 1 8
40.77	69	1 1 0
52.41	24	0 2 7
53.87	18	2 0 8
63.11	25	1 1 15
68.45	22	2 1 7

=====

Entry 6:
Structure and theoretical powder XRD pattern of AcCePrAl (a DFT-relaxed cell (GGA-PBE, Alexandria); Cu Kα).
Peak positions follow from Bragg's law for the DFT cell and can differ from measured ones.

Crystal structure
a = 7.914 Å, b = 7.914 Å, c = 7.914 Å
α = 90.00°, β = 90.00°, γ = 90.00°
Space group F-43m (No. 216)
Inequivalent atoms, fractional coordinates:
Ac 0.000 0.000 0.000 [4 per cell]
Ce 0.250 0.250 0.750 [4 per cell]
Pr 0.250 0.250 0.250 [4 per cell]
Al 0.000 0.000 0.500 [4 per cell]

Peak list (8 most intense, 10 to 80 degrees two-theta, by angle)
two_theta	intensity	hkl
19.43	29	1 1 1
31.99	100	2 2 0
37.70	17	3 1 1
45.86	19	4 0 0
50.25	8	3 3 1
57.01	39	4 2 2
66.88	12	4 4 0
76.06	17	6 2 0

=====

Please write out number 1 again, unchanged.
Structure and theoretical powder XRD pattern of AcMg2AlCd2 (a DFT-relaxed cell (GGA-PBE, Alexandria); Cu Kα).
Peak positions follow from Bragg's law for the DFT cell and can differ from measured ones.

Crystal structure
a = 5.335 Å, b = 5.335 Å, c = 12.220 Å
α = 90.00°, β = 90.00°, γ = 90.00°
Space group I4/mmm (No. 139)
Inequivalent atoms, fractional coordinates:
Ac 0.000 0.000 0.000 [2 per cell]
Mg 0.000 0.500 0.250 [4 per cell]
Al 0.000 0.000 0.500 [2 per cell]
Cd 0.000 0.000 0.292 [4 per cell]

Peak list (8 most intense, 10 to 80 degrees two-theta, by angle)
two_theta	intensity	hkl
18.14	34	1 0 1
23.59	100	1 1 0
27.55	96	1 0 3
29.23	27	0 0 4
33.60	63	2 0 0
37.90	31	1 1 4
43.98	55	2 1 3
45.12	33	2 0 4